No. 1
Starting from a cell relaxed with PBE, the XRD peak list of Hf4Mg2Sc was calculated for CuKα.
Kinematic intensities with the Lorentz-polarization factor, no thermal factor.

Most intense lines, 2θ from 10° to 90°, most intense first:
Position (°2θ)  intensity
10.33  1000
34.27  576
41.39  399
35.88  335
33.00  303
36.75  213
58.46  172
70.91  139

Cell and atoms:
a b c (Å): 17.1893 17.1893 3.0858
angles (deg): 90.00 90.00 169.66
Sites, in units of the cell vectors:
Hf 0.0748 0.9252 0.0000
Hf 0.3625 0.6375 0.5000
Hf 0.6375 0.3625 0.5000
Hf 0.9252 0.0748 0.0000
Mg 0.2099 0.7901 0.0000
Mg 0.7901 0.2099 0.0000
Sc 0.5000 0.5000 0.5000

=====

No. 2
Starting from a cell relaxed with PBE, the XRD peak list of HfMgZrSc was calculated for CuKα.
Kinematic intensities with the Lorentz-polarization factor, no thermal factor.

Most intense lines, 2θ from 10° to 90°, most intense first:
Position (°2θ)  intensity
36.41  1000
31.73  835
41.20  392
71.96  263
55.28  256
35.21  237
42.18  216
69.18  175

Cell and atoms:
a b c (Å): 10.4289 10.4289 10.4289
angles (deg): 162.91 162.91 24.26
Sites, in units of the cell vectors:
Hf 0.0000 0.0000 0.0000
Mg 0.2326 0.2326 0.0000
Zr 0.6116 0.6116 0.0000
Sc 0.3911 0.3911 0.0000

=====

No. 3
Starting from a cell relaxed with PBE, the XRD peak list of HfMg6Sn was calculated for CuKα.
Kinematic intensities with the Lorentz-polarization factor, no thermal factor.

Most intense lines, 2θ from 10° to 90°, most intense first:
Position (°2θ)  intensity
36.98  1000
15.95  974
23.90  483
33.14  357
32.21  257
35.83  243
46.89  218
39.44  215

Cell and atoms:
a b c (Å): 5.0127 6.4193 6.4193
angles (deg): 59.96 90.00 90.00
Sites, in units of the cell vectors:
Hf 0.0000 0.0000 0.0000
Mg 0.0000 0.4921 0.4921
Mg 0.0000 0.5073 0.9890
Mg 0.0000 0.9890 0.5073
Mg 0.5000 0.1551 0.6578
Mg 0.5000 0.6537 0.6537
Mg 0.5000 0.6578 0.1551
Sn 0.5000 0.1545 0.1545

=====

No. 4
Starting from a cell relaxed with PBE, the XRD peak list of HfMgZrTe2 was calculated for CuKα.
Kinematic intensities with the Lorentz-polarization factor, no thermal factor.

Most intense lines, 2θ from 10° to 90°, most intense first:
Position (°2θ)  intensity
32.80  1000
23.30  958
16.60  817
47.63  700
33.56  470
36.98  455
40.62  447
59.04  366

Cell and atoms:
a b c (Å): 5.4607 5.4607 5.3407
angles (deg): 90.00 90.00 90.00
Sites, in units of the cell vectors:
Hf 0.0000 0.0000 0.0000
Mg 0.0000 0.0000 0.5000
Zr 0.5000 0.5000 0.5000
Te 0.0000 0.5000 0.0000
Te 0.5000 0.0000 0.0000